Na3Mn2P2C2O14: theoretical powder X-ray diffraction pattern (CuKα), based on DFT lattice parameters and positions (PBE+U).

Structural model:
```
data_Na3Mn2P2C2O14
_chemical_formula_sum 'Na6 Mn4 P4 C4 O28'
_space_group_name_H-M_alt 'P 1'
_space_group_IT_number 1
_space_group_name_Hall 'P 1'
_cell_length_a 8.3813
_cell_length_b 8.4048
_cell_length_c 9.1316
_cell_angle_alpha 91.51
_cell_angle_beta 90.75
_cell_angle_gamma 103.11
loop_
_atom_site_label
_atom_site_fract_x
_atom_site_fract_y
_atom_site_fract_z
_atom_site_occupancy
Na1 0.1074 0.1659 0.2445 1
Na2 0.3706 0.3752 0.7692 1
Na3 0.3808 0.8716 0.2363 1
Na4 0.6192 0.1284 0.7637 1
Na5 0.6294 0.6248 0.2308 1
Na6 0.8926 0.8341 0.7555 1
Mn1 0.0162 0.2674 0.6419 1
Mn2 0.4854 0.2322 0.3440 1
Mn3 0.5146 0.7678 0.6560 1
Mn4 0.9838 0.7326 0.3581 1
P1 0.2350 0.9971 0.5673 1
P2 0.2649 0.5242 0.4264 1
P3 0.7351 0.4758 0.5736 1
P4 0.7650 0.0029 0.4327 1
C1 0.0101 0.7778 0.0946 1
C2 0.4870 0.7401 0.9204 1
C3 0.5130 0.2599 0.0796 1
C4 0.9899 0.2222 0.9054 1
O1 0.0251 0.8041 0.9630 1
O2 0.0818 0.8516 0.5389 1
O3 0.0948 0.3431 0.8467 1
O4 0.1016 0.8712 0.1995 1
O5 0.1457 0.6035 0.3363 1
O6 0.1812 0.1351 0.6593 1
O7 0.1865 0.4474 0.5687 1
O8 0.2971 0.0621 0.4160 1
O9 0.3168 0.3986 0.3239 1
O10 0.3689 0.9485 0.6589 1
O11 0.3907 0.6456 0.8229 1
O12 0.4024 0.1462 0.1437 1
O13 0.4190 0.6629 0.4696 1
O14 0.4777 0.7253 0.0558 1
O15 0.5223 0.2747 0.9442 1
O16 0.5810 0.3371 0.5304 1
O17 0.5976 0.8538 0.8563 1
O18 0.6093 0.3544 0.1771 1
O19 0.6311 0.0515 0.3411 1
O20 0.6832 0.6014 0.6761 1
O21 0.7029 0.9379 0.5840 1
O22 0.8135 0.5526 0.4313 1
O23 0.8188 0.8649 0.3407 1
O24 0.8543 0.3965 0.6637 1
O25 0.8984 0.1288 0.8005 1
O26 0.9052 0.6569 0.1533 1
O27 0.9182 0.1484 0.4611 1
O28 0.9749 0.1959 0.0370 1
```

Principal peaks in the range 2θ from 5° to 70°, by intensity:
hkl  2θ/deg  I/Imax
0 0 1  9.7  100
2 -2 0  27.1  33
1 1 -2  25.5  27
-1 1 1  16.7  19
2 2 0  34.4  18
1 1 -3  33.6  17
1 -1 1  16.6  17
0 2 0  21.8  16
4 -4 0  56.0  16
0 2 1  24.1  16